Calculated X-ray powder pattern of Rb3Te3Pb2 for a wavelength of 1.5418 Å, from a crystal structure in Alexandria, relaxed with GGA-PBE.

Structural model:
```
data_Rb3Te3Pb2
_chemical_formula_sum 'Rb12 Te12 Pb8'
_cell_length_a 8.740
_cell_length_b 17.309
_cell_length_c 9.289
_cell_angle_alpha 90.00
_cell_angle_beta 90.00
_cell_angle_gamma 90.00
_symmetry_space_group_name_H-M 'P n m a'
_symmetry_Int_Tables_number 62
loop_
_symmetry_equiv_pos_as_xyz
'x,y,z'
'-x,-y,-z'
'-x+1/2,-y,z+1/2'
'x+1/2,y,-z+1/2'
'x+1/2,-y+1/2,-z+1/2'
'-x+1/2,y+1/2,z+1/2'
'-x,y+1/2,-z'
'x,-y+1/2,z'
loop_
_atom_site_label
_atom_site_fract_x
_atom_site_fract_y
_atom_site_fract_z
_atom_site_occupancy
Rb1 0.019 0.094 0.196 1
Rb2 0.242 0.250 0.521 1
Te1 0.188 0.750 0.606 1
Te2 0.206 0.046 0.571 1
Pb1 0.128 0.612 0.382 1
```

Main lines, by angle (10 to 80 degrees two-theta):
| d/Å | 2θ (°) | I_rel |
| --- | --- | --- |
| 6.365 | 13.91 | 77 |
| 3.343 | 26.67 | 100 |
| 2.977 | 30.02 | 89 |
| 2.919 | 30.63 | 50 |
| 2.882 | 31.03 | 60 |
| 2.728 | 32.83 | 62 |